Entry 1:
For K3Ac2PmO6, the PBE geometry in Alexandria gives the calculated PXRD pattern in this record (copper Kα).

Structural model:
```
K3Ac2PmO6
1.0
3.2727 -5.6731 0.0000
3.2727 5.6731 0.0000
-2.1735 0.0000 6.3444
K Ac Pm O
3 2 1 6
direct
0.0000 0.0000 0.0000 K
0.3390 0.6610 0.0000 K
0.6610 0.3390 0.0000 K
0.1669 0.8331 0.5000 Ac
0.8331 0.1669 0.5000 Ac
0.5000 0.5000 0.5000 Pm
0.1163 0.4357 0.3068 O
0.2443 0.2443 0.6926 O
0.4357 0.1163 0.3068 O
0.5643 0.8837 0.6932 O
0.7557 0.7557 0.3074 O
0.8837 0.5643 0.6932 O
```

Largest 8 diffraction maxima, in order of rising 2θ, 2θ = 10–90°:
2θ 14.0, I = 100; 2θ 27.6, I = 50; 2θ 28.1, I = 32; 2θ 28.8, I = 84; 2θ 33.2, I = 100; 2θ 47.2, I = 34; 2θ 48.1, I = 35; 2θ 56.7, I = 28


Entry 2:
For KAc2ReO6, the PBE geometry in Alexandria gives the calculated PXRD pattern in this record (copper Kα).

Structural model:
```
KAc2ReO6
1.0
5.7090 0.0000 0.0000
0.0000 5.7090 0.0000
0.0000 0.0000 5.7527
K Ac Re O
1 2 1 6
direct
0.0000 0.0000 0.0000 K
0.0000 0.5000 0.4534 Ac
0.5000 0.0000 0.4534 Ac
0.5000 0.5000 0.0632 Re
0.0000 0.0000 0.5560 O
0.2818 0.2818 0.2122 O
0.2818 0.7182 0.2122 O
0.5000 0.5000 0.7514 O
0.7182 0.2818 0.2122 O
0.7182 0.7182 0.2122 O
```

Largest 8 diffraction maxima, in order of rising 2θ, 2θ = 10–90°:
2θ 15.4, I = 25; 2θ 22.0, I = 18; 2θ 27.0, I = 100; 2θ 31.3, I = 36; 2θ 38.4, I = 20; 2θ 44.7, I = 24; 2θ 44.9, I = 19; 2θ 53.2, I = 32


Entry 3:
For KAcRhO3, the PBE geometry in Alexandria gives the calculated PXRD pattern in this record (copper Kα).

Structural model:
```
KAcRhO3
1.0
6.9886 -1.9627 0.0000
6.9886 1.9627 0.0000
-2.1868 0.0000 7.5617
K Ac Rh O
2 2 2 6
direct
0.1400 0.1400 0.0625 K
0.8600 0.8600 0.9375 K
0.1517 0.1517 0.5863 Ac
0.8483 0.8483 0.4137 Ac
0.4936 0.4936 0.7200 Rh
0.5064 0.5064 0.2800 Rh
0.0074 0.0074 0.2824 O
0.3344 0.3344 0.6322 O
0.3499 0.3499 0.2109 O
0.6501 0.6501 0.7891 O
0.6656 0.6656 0.3678 O
0.9926 0.9926 0.7176 O
```

Largest 8 diffraction maxima, in order of rising 2θ, 2θ = 10–90°:
2θ 11.7, I = 99; 2θ 25.6, I = 22; 2θ 30.2, I = 39; 2θ 30.3, I = 100; 2θ 32.2, I = 82; 2θ 40.3, I = 20; 2θ 46.3, I = 18; 2θ 56.3, I = 36


Entry 4:
For K2AcSb2O7, the PBE geometry in Alexandria gives the calculated PXRD pattern in this record (copper Kα).

Structural model:
```
K2AcSb2O7
1.0
-2.0695 2.0695 11.1661
2.0695 -2.0695 11.1661
2.0695 2.0695 -11.1661
K Ac Sb O
2 1 2 7
direct
0.1954 0.1954 0.0000 K
0.8046 0.8046 0.0000 K
0.0000 0.0000 0.0000 Ac
0.4014 0.4014 0.0000 Sb
0.5986 0.5986 0.0000 Sb
0.0822 0.5822 0.5000 O
0.3151 0.3151 0.0000 O
0.4178 0.9178 0.5000 O
0.5000 0.5000 0.0000 O
0.5822 0.0822 0.5000 O
0.6849 0.6849 0.0000 O
0.9178 0.4178 0.5000 O
```

Largest 8 diffraction maxima, in order of rising 2θ, 2θ = 10–90°:
2θ 24.6, I = 34; 2θ 29.4, I = 100; 2θ 30.5, I = 51; 2θ 40.4, I = 16; 2θ 43.7, I = 29; 2θ 51.5, I = 25; 2θ 53.6, I = 38; 2θ 61.0, I = 18


Entry 5:
For K4AcSb3O12, the PBE geometry in Alexandria gives the calculated PXRD pattern in this record (copper Kα).

Structural model:
```
K4AcSb3O12
1.0
-4.2607 4.2607 4.2607
4.2607 -4.2607 4.2607
4.2607 4.2607 -4.2607
K Ac Sb O
4 1 3 12
direct
0.0000 0.0000 0.5000 K
0.0000 0.5000 0.0000 K
0.5000 0.0000 0.0000 K
0.5000 0.5000 0.5000 K
0.0000 0.0000 0.0000 Ac
0.0000 0.5000 0.5000 Sb
0.5000 0.0000 0.5000 Sb
0.5000 0.5000 0.0000 Sb
0.0000 0.2773 0.2773 O
0.0000 0.7227 0.7227 O
0.2500 0.5000 0.7500 O
0.2500 0.7500 0.5000 O
0.2773 0.0000 0.2773 O
0.2773 0.2773 0.0000 O
0.5000 0.2500 0.7500 O
0.5000 0.7500 0.2500 O
0.7227 0.0000 0.7227 O
0.7227 0.7227 0.0000 O
0.7500 0.2500 0.5000 O
0.7500 0.5000 0.2500 O
```

Largest 8 diffraction maxima, in order of rising 2θ, 2θ = 10–90°:
2θ 20.8, I = 61; 2θ 29.7, I = 100; 2θ 42.4, I = 34; 2θ 47.7, I = 27; 2θ 52.6, I = 39; 2θ 61.6, I = 20; 2θ 69.8, I = 18; 2θ 85.2, I = 21


Entry 6:
For KAc2SbO5, the PBE geometry in Alexandria gives the calculated PXRD pattern in this record (copper Kα).

Structural model:
```
KAc2SbO5
1.0
7.2595 0.0000 0.0000
0.0000 7.2595 0.0000
0.0000 0.0000 6.4372
K Ac Sb O
2 4 2 10
direct
0.0000 0.0000 0.0000 K
0.5000 0.5000 0.0000 K
0.1799 0.3201 0.5000 Ac
0.3201 0.8201 0.5000 Ac
0.6799 0.1799 0.5000 Ac
0.8201 0.6799 0.5000 Ac
0.0000 0.5000 0.0000 Sb
0.5000 0.0000 0.0000 Sb
0.0000 0.0000 0.5000 O
0.1376 0.6376 0.2541 O
0.1376 0.6376 0.7459 O
0.3624 0.1376 0.2541 O
0.3624 0.1376 0.7459 O
0.5000 0.5000 0.5000 O
0.6376 0.8624 0.2541 O
0.6376 0.8624 0.7459 O
0.8624 0.3624 0.2541 O
0.8624 0.3624 0.7459 O
```

Largest 8 diffraction maxima, in order of rising 2θ, 2θ = 10–90°:
2θ 13.8, I = 62; 2θ 27.5, I = 38; 2θ 27.7, I = 44; 2θ 28.2, I = 100; 2θ 30.8, I = 82; 2θ 39.4, I = 58; 2θ 41.8, I = 31; 2θ 54.0, I = 29